# 1
This entry pairs a crystal structure of Rb3Li2Cl3F2 with its theoretical powder XRD pattern. Radiation: a wavelength of 1.5418 Å. Structure: a cell relaxed with GGA-PBE.
Neutral-atom scattering factors, no anomalous dispersion.

Largest 10 diffraction maxima, sorted by position, 2θ from 15° to 90°:
two_theta	d (Å)	I (rel.)	index
21.26	4.180	36	0 0 6
22.77	3.905	59	1 0 3
28.47	3.135	54	0 0 8
28.58	3.123	100	1 1 0
32.02	2.795	24	1 1 4
35.89	2.502	75	1 1 6
40.83	2.210	100	2 0 0
50.56	1.805	38	2 0 8
59.49	1.554	28	1 1 14
66.98	1.397	32	3 1 0

Atomic structure:
a b c (Å): 4.4165 4.4165 25.0773
angles (deg): 90.00 90.00 90.00
Space group I4/mmm (No. 139)
Unique sites:
1 Rb 0.0000 0.0000 0.0000 (multiplicity 2)
2 Rb 0.0000 0.0000 0.3578 (multiplicity 4)
3 Li 0.0000 0.0000 0.2301 (multiplicity 4)
4 Cl 0.0000 0.0000 0.1324 (multiplicity 4)
5 Cl 0.0000 0.0000 0.5000 (multiplicity 2)
6 F 0.0000 0.5000 0.2500 (multiplicity 4)

# 2
This entry pairs a crystal structure of Mg2ClF2 with its theoretical powder XRD pattern. Radiation: a wavelength of 1.5418 Å. Structure: a cell relaxed with GGA-PBE.
Neutral-atom scattering factors, no anomalous dispersion.

Largest 10 diffraction maxima, sorted by position, 2θ from 15° to 90°:
two_theta	d (Å)	I (rel.)	index
16.73	5.299	65	1 0 1
26.96	3.307	57	1 1 2
28.51	3.131	20	2 0 0
33.24	2.695	100	2 1 1
36.12	2.486	20	0 0 4
42.25	2.139	20	2 1 3
47.99	1.896	25	1 0 5
53.57	1.711	33	3 2 1
55.58	1.653	26	2 2 4
59.01	1.565	18	4 0 0

Atomic structure:
a b c (Å): 6.2615 6.2615 9.9458
angles (deg): 90.00 90.00 90.00
Space group I4_1md (No. 109)
Unique sites:
1 Mg 0.0000 0.2442 0.0000 (multiplicity 8)
2 Cl 0.0000 0.0000 0.5538 (multiplicity 4)
3 F 0.0000 0.2921 0.2065 (multiplicity 8)

# 3
This entry pairs a crystal structure of Mg2ClF with its theoretical powder XRD pattern. Radiation: a wavelength of 1.5418 Å. Structure: a cell relaxed with GGA-PBE.
Neutral-atom scattering factors, no anomalous dispersion.

Largest 10 diffraction maxima, sorted by position, 2θ from 15° to 90°:
two_theta	d (Å)	I (rel.)	index
27.65	3.226	100	1 1 2
28.78	3.102	10	1 0 3
36.88	2.437	19	2 1 1
43.60	2.076	8	1 0 5
45.94	1.976	51	2 0 4
49.66	1.836	5	3 0 1
54.46	1.685	28	1 1 6
65.23	1.430	6	3 2 3
73.94	1.282	8	3 1 6
74.53	1.273	6	3 2 5

Atomic structure:
a b c (Å): 5.5832 5.5832 11.1917
angles (deg): 90.00 90.00 90.00
Space group I-42d (No. 122)
Unique sites:
1 Mg 0.1654 0.2500 0.1250 (multiplicity 8)
2 Cl 0.0000 0.0000 0.5000 (multiplicity 4)
3 F 0.0000 0.0000 0.0000 (multiplicity 4)

# 4
This entry pairs a crystal structure of Rb2MgClF3 with its theoretical powder XRD pattern. Radiation: a wavelength of 1.5418 Å. Structure: a cell relaxed with GGA-PBE.
Neutral-atom scattering factors, no anomalous dispersion.

Largest 10 diffraction maxima, sorted by position, 2θ from 15° to 90°:
two_theta	d (Å)	I (rel.)	index
26.01	3.426	62	0 1 3
28.07	3.179	82	1 1 0
28.70	3.110	73	1 0 3
30.83	2.900	53	1 1 2
36.11	2.488	53	0 2 0
38.06	2.364	100	0 0 6
43.82	2.066	30	2 0 0
46.76	1.943	38	1 2 3
47.98	1.896	30	1 1 6
53.50	1.713	28	0 2 6

Atomic structure:
a b c (Å): 4.1324 4.9752 14.1724
angles (deg): 90.00 90.00 90.00
Space group Immm (No. 71)
Unique sites:
1 Rb 0.0000 0.0000 0.1621 (multiplicity 4)
2 Mg 0.0000 0.0000 0.5000 (multiplicity 2)
3 Cl 0.0000 0.5000 0.5000 (multiplicity 2)
4 F 0.0000 0.0000 0.3566 (multiplicity 4)
5 F 0.0000 0.5000 0.0000 (multiplicity 2)